No. 1
Theoretical XRD peak list
Compound: Pm4ZnPb2
Radiation: Cu Kα (weighted mean of Kα1 and Kα2)
Structure: a crystal structure in Alexandria, relaxed with PBE

Largest 6 diffraction maxima, in order of rising 2θ, 2θ from 10° to 90°:
- 2θ = 26.78°, rel. 18
- 2θ = 30.32°, rel. 26
- 2θ = 31.39°, rel. 19
- 2θ = 31.90°, rel. 100
- 2θ = 32.77°, rel. 38
- 2θ = 35.20°, rel. 33

Crystal structure
```
14
Lattice="5.9365 0.0000 0.0000 0.0000 6.6578 0.0000 -1.7467 0.0000 10.4687" Properties=species:S:1:pos:R:3 pbc="T T T"
Pm 0.7338 1.6645 1.1812
Pm 0.7274 4.9934 4.5922
Pm 0.5218 0.0751 7.6860
Pm 0.5218 3.2538 7.6860
Pm 3.6680 3.4040 2.7827
Pm 3.6680 6.5827 2.7827
Pm 3.4624 1.6645 5.8765
Pm 3.4560 4.9934 9.2876
Zn 0.1663 4.9934 1.7716
Zn 4.0235 1.6645 8.6971
Pb 0.5317 1.6645 4.4742
Pb 2.2766 4.9934 0.1064
Pb 1.9132 1.6645 10.3623
Pb 3.6581 4.9934 5.9945
```


No. 2
Theoretical XRD peak list
Compound: TlSn2
Radiation: Cu Kα (weighted mean of Kα1 and Kα2)
Structure: a crystal structure in Alexandria, relaxed with PBE

Largest 6 diffraction maxima, in order of rising 2θ, 2θ from 10° to 90°:
- 2θ = 30.71°, rel. 100
- 2θ = 33.54°, rel. 82
- 2θ = 34.29°, rel. 75
- 2θ = 55.92°, rel. 38
- 2θ = 57.43°, rel. 32
- 2θ = 62.63°, rel. 27

Crystal structure
```
3
Lattice="-1.7238 2.1146 6.0197 1.7238 -2.1146 6.0197 1.7238 2.1146 -6.0197" Properties=species:S:1:pos:R:3 pbc="T T T"
Tl 0.0000 0.0000 0.0000
Sn 0.0000 0.0000 3.8544
Sn 0.0000 0.0000 8.1850
```


No. 3
Theoretical XRD peak list
Compound: Tb14SmSc
Radiation: Cu Kα (weighted mean of Kα1 and Kα2)
Structure: a crystal structure in Alexandria, relaxed with PBE

Largest 6 diffraction maxima, in order of rising 2θ, 2θ from 10° to 90°:
- 2θ = 30.88°, rel. 100
- 2θ = 35.77°, rel. 34
- 2θ = 35.88°, rel. 17
- 2θ = 51.54°, rel. 36
- 2θ = 61.25°, rel. 28
- 2θ = 61.40°, rel. 14

Crystal structure
```
16
Lattice="7.0996 0.0000 0.0000 0.0000 7.0996 0.0000 0.0000 0.0000 10.0101" Properties=species:S:1:pos:R:3 pbc="T T T"
Tb 0.0000 0.0000 0.0000
Tb 0.0000 3.5498 0.0000
Tb 0.0000 3.5498 5.0051
Tb 1.7596 1.7596 2.5230
Tb 1.7596 1.7596 7.4871
Tb 1.7596 5.3400 2.5230
Tb 1.7596 5.3400 7.4871
Tb 3.5498 0.0000 0.0000
Tb 3.5498 0.0000 5.0051
Tb 3.5498 3.5498 0.0000
Tb 5.3400 1.7596 2.5230
Tb 5.3400 1.7596 7.4871
Tb 5.3400 5.3400 2.5230
Tb 5.3400 5.3400 7.4871
Sm 3.5498 3.5498 5.0051
Sc 0.0000 0.0000 5.0051
```